Structure and theoretical powder X-ray diffraction pattern of ZrRh2 (DFT lattice parameters and positions (GGA-PBE); Cu Kα, 1.54184 Å).
Neutral-atom scattering factors, no anomalous dispersion.

Crystal structure
```
data_ZrRh2
_cell_length_a 8.8617
_cell_length_b 4.0938
_cell_length_c 5.6025
_cell_angle_alpha 90.00
_cell_angle_beta 103.74
_cell_angle_gamma 90.00
_space_group_name_H-M_alt 'C 1 2/m 1'
_space_group_IT_number 12
_space_group_name_Hall '-C 2y'
loop_
_atom_site_label
_atom_site_fract_x
_atom_site_fract_y
_atom_site_fract_z
_atom_site_occupancy
Zr1 0.1434 0.0000 0.3021 1
Rh1 0.0000 0.5000 0.0000 1
Rh2 0.0000 0.5000 0.5000 1
Rh3 0.1766 0.0000 0.8203 1
```

Most intense lines, 10 to 80 degrees two-theta, sorted by position:
hkl 3 1 0, 2θ 38.31, I = 100.0; hkl 1 1 -2, 2θ 39.05, I = 98.0; hkl 2 0 2, 2θ 43.36, I = 32.6; hkl 0 2 0, 2θ 44.25, I = 35.4; hkl 4 0 -2, 2θ 47.22, I = 27.2; hkl 2 2 2, 2θ 63.68, I = 20.2; hkl 4 2 -2, 2θ 66.70, I = 18.8; hkl 3 3 0, 2θ 77.44, I = 12.9